The following is a calculated powder X-ray diffraction pattern of CaV2Zn2Si2O10. It was derived from DFT lattice parameters and positions (GGA+U), using Cu Kα X-rays.

Principal peaks in the range 10 to 90 degrees two-theta, most intense first:
2theta	I (rel.)	h k l
26.63	1000	1 0 2
24.69	714	1 1 0
36.46	631	2 -1 0
34.54	612	1 -1 2
27.08	601	0 1 2
38.27	448	1 2 0

Crystal structure
```
CaV2Zn2Si2O10
1.0
5.5674 0.0000 0.0000
0.0076 5.8844 0.0000
2.5114 2.1533 6.4921
Ca V Zn Si O
1 2 2 2 10
direct
0.0000 0.0000 0.0000
0.0035 0.4626 0.2484
0.0866 0.5746 0.6929
0.3916 0.2387 0.4757
0.5985 0.6788 0.9825
0.4996 0.2321 0.9160
0.6768 0.8656 0.4865
0.1681 0.4804 0.4366
0.3504 0.3158 0.7489
0.3588 0.8680 0.5760
0.3734 0.3706 0.0905
0.4056 0.9438 0.0310
0.7679 0.1614 0.3513
0.7739 0.7208 0.3212
0.7912 0.7840 0.6703
0.8111 0.2819 0.8287
0.9638 0.6196 0.9794
```